This entry pairs a crystal structure of Er3Fe2Co7 with its theoretical powder XRD pattern. Radiation: Cu Kα (weighted mean of Kα1 and Kα2). Structure: a crystal structure in OQMD, relaxed with PBE.
Kinematic intensities with the Lorentz-polarization factor, no thermal factor.

Principal peaks in the range 15° ≤ 2θ ≤ 90°, sorted by position:
d (Å)	I/Imax	index
4.272	150	1 0 1
2.666	525	1 0 7
2.508	588	1 1 0
2.443	406	0 1 8
2.163	418	0 2 1
2.115	1000	1 1 6
1.972	228	0 0 12
1.476	178	2 1 7
1.435	147	1 2 8
1.359	228	3 0 6
1.333	244	2 0 14
1.254	220	2 2 0

Crystal structure
```
data_Er3Fe2Co7
_cell_length_a 5.0152
_cell_length_b 5.0152
_cell_length_c 23.6352
_cell_angle_alpha 90.00
_cell_angle_beta 90.00
_cell_angle_gamma 120.00
_space_group_name_H-M_alt 'R -3 m'
_space_group_IT_number 166
_space_group_name_Hall '-R 3 2"'
loop_
_atom_site_label
_atom_site_fract_x
_atom_site_fract_y
_atom_site_fract_z
_atom_site_occupancy
Er1 0.0000 0.0000 0.0000 1
Er2 0.0000 0.0000 0.1407 1
Fe1 0.0000 0.0000 0.3340 1
Co1 0.0000 0.0000 0.5000 1
Co2 0.0024 0.5012 0.9179 1
```

---

This entry pairs a crystal structure of PmLuSn with its theoretical powder XRD pattern. Radiation: Cu Kα (weighted mean of Kα1 and Kα2). Structure: a crystal structure in OQMD, relaxed with PBE.
Kinematic intensities with the Lorentz-polarization factor, no thermal factor.

Principal peaks in the range 15° ≤ 2θ ≤ 90°, sorted by position:
d (Å)	I/Imax	index
4.201	184	1 1 1
3.638	252	2 0 0
2.572	1000	2 2 0
2.194	102	3 1 1
2.100	74	2 2 2
1.819	181	4 0 0
1.669	45	3 3 1
1.627	99	4 2 0
1.485	375	4 2 2
1.286	117	4 4 0
1.213	46	6 0 0
1.150	169	6 2 0

Crystal structure
```
data_PmLuSn
_cell_length_a 7.2759
_cell_length_b 7.2759
_cell_length_c 7.2759
_cell_angle_alpha 90.00
_cell_angle_beta 90.00
_cell_angle_gamma 90.00
_space_group_name_H-M_alt 'F -4 3 m'
_space_group_IT_number 216
_space_group_name_Hall 'F -4 2 3'
loop_
_atom_site_label
_atom_site_fract_x
_atom_site_fract_y
_atom_site_fract_z
_atom_site_occupancy
Pm1 0.0000 0.0000 0.0000 1
Lu1 0.0000 0.0000 0.5000 1
Sn1 0.2500 0.2500 0.7500 1
```

---

This entry pairs a crystal structure of LiWAu3S4 with its theoretical powder XRD pattern. Radiation: Cu Kα (weighted mean of Kα1 and Kα2). Structure: a crystal structure in OQMD, relaxed with PBE.
Kinematic intensities with the Lorentz-polarization factor, no thermal factor.

Principal peaks in the range 15° ≤ 2θ ≤ 90°, sorted by position:
d (Å)	I/Imax	index
3.430	597	1 1 1
2.971	674	2 0 0
2.657	620	2 1 0
2.101	1000	2 2 0
1.980	367	2 2 1
1.791	287	3 1 1
1.715	196	2 2 2
1.648	196	3 2 0
1.485	163	4 0 0
1.441	196	4 1 0
1.329	261	4 2 0
1.213	338	4 2 2

Crystal structure
```
data_LiWAu3S4
_cell_length_a 5.9414
_cell_length_b 5.9414
_cell_length_c 5.9414
_cell_angle_alpha 90.00
_cell_angle_beta 90.00
_cell_angle_gamma 90.00
_space_group_name_H-M_alt 'P -4 3 m'
_space_group_IT_number 215
_space_group_name_Hall 'P -4 2 3'
loop_
_atom_site_label
_atom_site_fract_x
_atom_site_fract_y
_atom_site_fract_z
_atom_site_occupancy
Li1 0.0000 0.0000 0.0000 1
W1 0.5000 0.5000 0.5000 1
Au1 0.0000 0.5000 0.5000 1
S1 0.2671 0.2671 0.2671 1
```

---

This entry pairs a crystal structure of TmCuGeTe2Se with its theoretical powder XRD pattern. Radiation: Cu Kα (weighted mean of Kα1 and Kα2). Structure: a crystal structure in OQMD, relaxed with PBE.
Kinematic intensities with the Lorentz-polarization factor, no thermal factor.

Principal peaks in the range 15° ≤ 2θ ≤ 90°, sorted by position:
d (Å)	I/Imax	index
3.085	831	1 3 0
2.954	355	1 3 1
2.645	1000	1 3 2
2.578	275	1 1 3
2.571	194	0 0 4
2.147	403	0 6 2
2.120	209	1 5 2
2.036	292	2 0 0
1.925	153	1 5 3
1.542	125	2 6 0
1.477	174	2 6 2
1.245	150	1 7 6

Crystal structure
```
data_TmCuGeTe2Se
_cell_length_a 4.0711
_cell_length_b 14.1742
_cell_length_c 10.2838
_cell_angle_alpha 90.00
_cell_angle_beta 90.00
_cell_angle_gamma 90.00
_space_group_name_H-M_alt 'C m c m'
_space_group_IT_number 63
_space_group_name_Hall '-C 2c 2'
loop_
_atom_site_label
_atom_site_fract_x
_atom_site_fract_y
_atom_site_fract_z
_atom_site_occupancy
Tm1 0.0000 0.0000 0.0000 1
Cu1 0.0000 0.4794 0.2500 1
Ge1 0.0000 0.2405 0.7500 1
Te1 0.0000 0.3475 0.0661 1
Se1 0.0000 0.0814 0.2500 1
```

---

This entry pairs a crystal structure of TaFeCl6 with its theoretical powder XRD pattern. Radiation: Cu Kα (weighted mean of Kα1 and Kα2). Structure: a crystal structure in OQMD, relaxed with PBE.
Kinematic intensities with the Lorentz-polarization factor, no thermal factor.

Principal peaks in the range 15° ≤ 2θ ≤ 90°, sorted by position:
d (Å)	I/Imax	index
4.849	902	0 2 1
4.716	1000	1 1 1
3.232	257	0 2 3
3.192	378	1 1 -3
2.704	958	1 3 2
2.637	490	2 0 -2
2.501	308	2 2 -1
2.166	252	2 2 3
2.149	656	1 3 4
2.114	339	2 0 -4
1.703	263	3 3 0
1.692	327	1 3 -6

Crystal structure
```
data_TaFeCl6
_cell_length_a 5.8373
_cell_length_b 10.5574
_cell_length_c 12.2655
_cell_angle_alpha 90.00
_cell_angle_beta 90.10
_cell_angle_gamma 90.00
_space_group_name_H-M_alt 'C 1 2/c 1'
_space_group_IT_number 15
_space_group_name_Hall '-C 2yc'
loop_
_atom_site_label
_atom_site_fract_x
_atom_site_fract_y
_atom_site_fract_z
_atom_site_occupancy
Ta1 0.0000 0.1541 0.2500 1
Fe1 0.0000 0.4748 0.7500 1
Cl1 0.1629 0.3250 0.3561 1
Cl2 0.1646 0.0039 0.3706 1
Cl3 0.1740 0.3347 0.8728 1
```

---

This entry pairs a crystal structure of NaLi3Os4 with its theoretical powder XRD pattern. Radiation: Cu Kα (weighted mean of Kα1 and Kα2). Structure: a crystal structure in OQMD, relaxed with PBE.
Kinematic intensities with the Lorentz-polarization factor, no thermal factor.

Principal peaks in the range 15° ≤ 2θ ≤ 90°, sorted by position:
d (Å)	I/Imax	index
5.186	1000	0 0 2
4.033	212	1 1 0
3.184	174	1 1 2
2.956	76	1 0 3
2.593	173	0 0 4
2.477	819	2 1 1
2.181	109	1 1 4
2.052	416	2 1 3
1.804	81	3 1 0
1.704	169	3 1 2
1.609	151	2 1 5
1.375	91	4 0 2

Crystal structure
```
data_NaLi3Os4
_cell_length_a 5.7035
_cell_length_b 5.7035
_cell_length_c 10.3711
_cell_angle_alpha 90.00
_cell_angle_beta 90.00
_cell_angle_gamma 90.00
_space_group_name_H-M_alt 'I -4 2 m'
_space_group_IT_number 121
_space_group_name_Hall 'I -4 2'
loop_
_atom_site_label
_atom_site_fract_x
_atom_site_fract_y
_atom_site_fract_z
_atom_site_occupancy
Na1 0.0000 0.0000 0.0000 1
Li1 0.0000 0.0000 0.5000 1
Li2 0.0000 0.5000 0.2500 1
Os1 0.1435 0.1435 0.2703 1
```

---

This entry pairs a crystal structure of ZnCu2As with its theoretical powder XRD pattern. Radiation: Cu Kα (weighted mean of Kα1 and Kα2). Structure: a crystal structure in OQMD, relaxed with PBE.
Kinematic intensities with the Lorentz-polarization factor, no thermal factor.

Principal peaks in the range 15° ≤ 2θ ≤ 90°, sorted by position:
d (Å)	I/Imax	index
2.730	6	2 1 0
2.158	1000	2 2 0
1.693	5	3 2 0
1.526	155	4 0 0
1.480	6	3 2 2
1.246	297	4 2 2
1.134	8	5 2 0

Crystal structure
```
data_ZnCu2As
_cell_length_a 6.1042
_cell_length_b 6.1042
_cell_length_c 6.1042
_cell_angle_alpha 90.00
_cell_angle_beta 90.00
_cell_angle_gamma 90.00
_space_group_name_H-M_alt 'P m -3 m'
_space_group_IT_number 221
_space_group_name_Hall '-P 4 2 3'
loop_
_atom_site_label
_atom_site_fract_x
_atom_site_fract_y
_atom_site_fract_z
_atom_site_occupancy
Zn1 0.0000 0.0000 0.0000 1
Zn2 0.0000 0.0000 0.5000 1
Cu1 0.2401 0.2401 0.2401 1
As1 0.0000 0.5000 0.5000 1
As2 0.5000 0.5000 0.5000 1
```

---

This entry pairs a crystal structure of La2Mg4NiIr with its theoretical powder XRD pattern. Radiation: Cu Kα (weighted mean of Kα1 and Kα2). Structure: a crystal structure in OQMD, relaxed with PBE.
Kinematic intensities with the Lorentz-polarization factor, no thermal factor.

Principal peaks in the range 15° ≤ 2θ ≤ 90°, sorted by position:
d (Å)	I/Imax	index
4.399	184	1 0 2
4.205	753	2 0 0
3.892	421	0 1 1
2.856	716	2 1 1
2.538	1000	1 1 3
2.466	483	1 0 4
2.102	412	0 2 0
1.930	400	3 1 3
1.879	170	2 2 0
1.599	264	1 2 4
1.422	172	5 1 3
1.409	165	5 0 4

Crystal structure
```
data_La2Mg4NiIr
_cell_length_a 8.4103
_cell_length_b 4.2016
_cell_length_c 10.3232
_cell_angle_alpha 90.00
_cell_angle_beta 90.00
_cell_angle_gamma 90.00
_space_group_name_H-M_alt 'A m m 2'
_space_group_IT_number 38
_space_group_name_Hall 'A 2 -2'
loop_
_atom_site_label
_atom_site_fract_x
_atom_site_fract_y
_atom_site_fract_z
_atom_site_occupancy
La1 0.0000 0.0000 0.0000 1
La2 0.5000 0.0000 0.1250 1
Mg1 0.1967 0.0000 0.7192 1
Mg2 0.3069 0.0000 0.4089 1
Ni1 0.5000 0.0000 0.8371 1
Ir1 0.0000 0.0000 0.2908 1
```

---

This entry pairs a crystal structure of Tm4Ga12Fe with its theoretical powder XRD pattern. Radiation: Cu Kα (weighted mean of Kα1 and Kα2). Structure: a crystal structure in OQMD, relaxed with PBE.
Kinematic intensities with the Lorentz-polarization factor, no thermal factor.

Principal peaks in the range 15° ≤ 2θ ≤ 90°, sorted by position:
d (Å)	I/Imax	index
4.252	132	2 0 0
3.006	263	2 2 0
2.455	1000	2 2 2
2.126	567	4 0 0
1.901	87	4 2 0
1.736	86	4 2 2
1.503	345	4 4 0
1.417	49	4 4 2
1.345	67	6 2 0
1.282	329	6 2 2
1.227	108	4 4 4
1.136	68	6 4 2

Crystal structure
```
data_Tm4Ga12Fe
_cell_length_a 8.5034
_cell_length_b 8.5034
_cell_length_c 8.5034
_cell_angle_alpha 90.00
_cell_angle_beta 90.00
_cell_angle_gamma 90.00
_space_group_name_H-M_alt 'I m -3 m'
_space_group_IT_number 229
_space_group_name_Hall '-I 4 2 3'
loop_
_atom_site_label
_atom_site_fract_x
_atom_site_fract_y
_atom_site_fract_z
_atom_site_occupancy
Tm1 0.2500 0.2500 0.2500 1
Ga1 0.0000 0.0000 0.2844 1
Ga2 0.0000 0.2500 0.5000 1
Fe1 0.0000 0.0000 0.0000 1
```

---

This entry pairs a crystal structure of Ta3ZnCN with its theoretical powder XRD pattern. Radiation: Cu Kα (weighted mean of Kα1 and Kα2). Structure: a crystal structure in OQMD, relaxed with PBE.
Kinematic intensities with the Lorentz-polarization factor, no thermal factor.

Principal peaks in the range 15° ≤ 2θ ≤ 90°, sorted by position:
d (Å)	I/Imax	index
3.150	77	0 0 6
2.664	385	1 0 1
2.588	100	1 0 2
2.474	170	1 0 3
2.362	290	0 0 8
2.338	1000	0 1 4
2.192	367	1 0 5
1.655	178	1 0 9
1.553	303	1 1 0
1.359	151	0 1 12
1.298	267	1 1 8
1.294	152	2 0 4

Crystal structure
```
data_Ta3ZnCN
_cell_length_a 3.1067
_cell_length_b 3.1067
_cell_length_c 18.8975
_cell_angle_alpha 90.00
_cell_angle_beta 90.00
_cell_angle_gamma 120.00
_space_group_name_H-M_alt 'P -3 m 1'
_space_group_IT_number 164
_space_group_name_Hall '-P 3 2"'
loop_
_atom_site_label
_atom_site_fract_x
_atom_site_fract_y
_atom_site_fract_z
_atom_site_occupancy
Ta1 0.0000 0.0000 0.0000 1
Ta2 0.0000 0.0000 0.5000 1
Ta3 0.3333 0.6667 0.1327 1
Ta4 0.3333 0.6667 0.3662 1
Zn1 0.0000 0.0000 0.2494 1
C1 0.3333 0.6667 0.5702 1
N1 0.3333 0.6667 0.9331 1
```

---

This entry pairs a crystal structure of DyBe4 with its theoretical powder XRD pattern. Radiation: Cu Kα (weighted mean of Kα1 and Kα2). Structure: a crystal structure in OQMD, relaxed with PBE.
Kinematic intensities with the Lorentz-polarization factor, no thermal factor.

Principal peaks in the range 15° ≤ 2θ ≤ 90°, sorted by position:
d (Å)	I/Imax	index
4.439	507	0 0 3
3.045	1000	1 0 1
2.831	416	1 0 2
2.664	215	0 0 5
2.557	150	1 0 3
2.280	511	1 0 4
2.211	203	1 1 0
2.099	230	1 1 2
1.979	340	1 1 3
1.810	170	1 0 6
1.391	189	2 1 1
1.289	167	2 1 4

Crystal structure
```
data_DyBe4
_cell_length_a 3.1274
_cell_length_b 3.1274
_cell_length_c 13.3184
_cell_angle_alpha 90.00
_cell_angle_beta 90.00
_cell_angle_gamma 90.00
_space_group_name_H-M_alt 'P 4/n m m'
_space_group_IT_number 129
loop_
_space_group_symop_operation_xyz
'x,y,z'
'-x,-y,-z'
'-y+1/2,x,z'
'y+1/2,-x,-z'
'-x+1/2,-y+1/2,z'
'x+1/2,y+1/2,-z'
'y,-x+1/2,z'
'-y,x+1/2,-z'
'x+1/2,-y,-z'
'-x+1/2,y,z'
'-y,-x,-z'
'y,x,z'
'-x,y+1/2,-z'
'x,-y+1/2,z'
'y+1/2,x+1/2,-z'
'-y+1/2,-x+1/2,z'
loop_
_atom_site_label
_atom_site_fract_x
_atom_site_fract_y
_atom_site_fract_z
_atom_site_occupancy
Dy1 0.2500 0.2500 0.1920 1
Be1 0.2500 0.2500 0.4975 1
Be2 0.2500 0.7500 0.0000 1
Be3 0.2500 0.7500 0.3837 1
```

---

This entry pairs a crystal structure of Al2ZnTeSe3 with its theoretical powder XRD pattern. Radiation: Cu Kα (weighted mean of Kα1 and Kα2). Structure: a crystal structure in OQMD, relaxed with PBE.
Kinematic intensities with the Lorentz-polarization factor, no thermal factor.

Principal peaks in the range 15° ≤ 2θ ≤ 90°, sorted by position:
d (Å)	I/Imax	index
3.326	495	-1 1 1
3.302	1000	1 -1 1
3.237	412	1 1 -2
2.866	125	2 0 -1
2.053	202	2 -2 0
2.030	194	0 2 1
2.015	189	2 0 1
2.010	178	2 2 -2
1.996	173	2 0 -3
1.990	167	0 2 -3
1.733	193	-3 1 2
1.709	272	1 1 2

Crystal structure
```
data_Al2ZnTeSe3
_cell_length_a 5.7342
_cell_length_b 5.7597
_cell_length_c 6.8385
_cell_angle_alpha 113.33
_cell_angle_beta 113.75
_cell_angle_gamma 91.21
_space_group_name_H-M_alt 'P 1'
_space_group_IT_number 1
_space_group_name_Hall 'P 1'
loop_
_atom_site_label
_atom_site_fract_x
_atom_site_fract_y
_atom_site_fract_z
_atom_site_occupancy
Al1 0.0000 0.0000 0.0000 1
Al2 0.2600 0.7794 0.5171 1
Zn1 0.7755 0.2613 0.5148 1
Te1 0.3929 0.4019 0.2347 1
Se1 0.1529 0.6485 0.7743 1
Se2 0.6355 0.1435 0.7741 1
Se3 0.8825 0.8746 0.2544 1
```

---

This entry pairs a crystal structure of Hf3BiCN with its theoretical powder XRD pattern. Radiation: Cu Kα (weighted mean of Kα1 and Kα2). Structure: a crystal structure in OQMD, relaxed with PBE.
Kinematic intensities with the Lorentz-polarization factor, no thermal factor.

Principal peaks in the range 15° ≤ 2θ ≤ 90°, sorted by position:
d (Å)	I/Imax	index
2.882	89	1 0 0
2.852	200	0 1 1
2.643	134	1 0 3
2.492	1000	1 0 4
2.481	265	0 0 8
2.332	156	1 0 5
2.021	74	0 1 7
1.880	67	1 0 8
1.664	271	1 1 0
1.435	181	0 1 12
1.384	163	2 0 4
1.382	266	1 1 8

Crystal structure
```
data_Hf3BiCN
_cell_length_a 3.3283
_cell_length_b 3.3283
_cell_length_c 19.8500
_cell_angle_alpha 90.00
_cell_angle_beta 90.00
_cell_angle_gamma 120.00
_space_group_name_H-M_alt 'P -3 m 1'
_space_group_IT_number 164
_space_group_name_Hall '-P 3 2"'
loop_
_atom_site_label
_atom_site_fract_x
_atom_site_fract_y
_atom_site_fract_z
_atom_site_occupancy
Hf1 0.0000 0.0000 0.0000 1
Hf2 0.0000 0.0000 0.5000 1
Hf3 0.3333 0.6667 0.1261 1
Hf4 0.3333 0.6667 0.3732 1
Bi1 0.0000 0.0000 0.2485 1
C1 0.3333 0.6667 0.5692 1
N1 0.3333 0.6667 0.9363 1
```